# 1
Computed powder diffractogram of CdInP for Cu Kα (λ = 1.5418 Å), from a cell relaxed with PBE.
Neutral-atom scattering factors, no anomalous dispersion.

Most intense lines, 2θ = 5–70°, by angle:
d (Å)	I_rel
3.436	13
2.859	100
2.576	13
2.061	20
1.984	24
1.630	13

Atomic structure:
```
CdInP
1.0
3.436 1.984 5.152
-3.436 1.984 5.152
0.000 -3.968 5.152
Cd In P
3 3 3
Direct
0.004 0.702 0.293 Cd
0.293 0.004 0.702 Cd
0.702 0.293 0.004 Cd
0.170 0.557 0.828 In
0.557 0.828 0.170 In
0.828 0.170 0.557 In
0.125 0.125 0.125 P
0.421 0.421 0.421 P
0.741 0.741 0.741 P
```

# 2
Computed powder diffractogram of Cu3Ir for Cu Kα (λ = 1.5418 Å), from a cell relaxed with PBE.
Neutral-atom scattering factors, no anomalous dispersion.

Most intense lines, 2θ = 5–70°, by angle:
d (Å)	I_rel
5.259	39
2.164	100
2.120	94
1.904	34
1.843	30
1.821	29

Atomic structure:
```
Cu3Ir
1.0
2.553 0.000 0.000
0.000 3.807 0.000
-0.063 0.000 5.259
Cu Ir
3 1
Direct
0.000 0.000 0.000 Cu
0.497 0.500 0.244 Cu
0.503 0.500 0.756 Cu
0.000 0.000 0.500 Ir
```

# 3
Computed powder diffractogram of PuB4Rh for Cu Kα (λ = 1.5418 Å), from a cell relaxed with PBE.
Neutral-atom scattering factors, no anomalous dispersion.

Most intense lines, 2θ = 5–70°, by angle:
d (Å)	I_rel
3.542	76
3.260	24
2.909	87
2.399	25
2.248	100
1.513	26

Atomic structure:
```
PuB4Rh
1.0
6.006 0.000 0.000
0.000 11.647 0.000
0.000 0.000 3.542
Pu B Rh
4 16 4
Direct
0.129 0.149 0.000 Pu
0.371 0.649 0.000 Pu
0.629 0.351 0.000 Pu
0.871 0.851 0.000 Pu
0.024 0.692 0.500 B
0.114 0.547 0.500 B
0.135 0.968 0.500 B
0.212 0.813 0.500 B
0.288 0.313 0.500 B
0.365 0.468 0.500 B
0.386 0.047 0.500 B
0.476 0.192 0.500 B
0.524 0.808 0.500 B
0.614 0.953 0.500 B
0.635 0.532 0.500 B
0.712 0.687 0.500 B
0.788 0.187 0.500 B
0.865 0.032 0.500 B
0.886 0.453 0.500 B
0.976 0.308 0.500 B
0.140 0.408 0.000 Rh
0.360 0.908 0.000 Rh
0.640 0.092 0.000 Rh
0.860 0.592 0.000 Rh
```

# 4
Computed powder diffractogram of La6TlFe2 for Cu Kα (λ = 1.5418 Å), from a cell relaxed with PBE.
Neutral-atom scattering factors, no anomalous dispersion.

Most intense lines, 2θ = 5–70°, by angle:
d (Å)	I_rel
3.138	22
2.960	100
2.779	31
2.756	22
2.468	21
1.631	18

Atomic structure:
```
La6TlFe2
1.0
-4.936 5.206 5.257
4.936 -5.206 5.257
4.936 5.206 -5.257
La Tl Fe
12 2 4
Direct
0.004 0.783 0.220 La
0.186 0.295 0.481 La
0.186 0.705 0.891 La
0.313 0.015 0.702 La
0.313 0.611 0.298 La
0.437 0.217 0.220 La
0.563 0.783 0.780 La
0.687 0.389 0.702 La
0.687 0.985 0.298 La
0.814 0.295 0.109 La
0.814 0.705 0.519 La
0.996 0.217 0.780 La
0.000 0.000 0.000 Tl
0.500 0.500 0.000 Tl
0.106 0.606 0.500 Fe
0.392 0.000 0.392 Fe
0.608 0.000 0.608 Fe
0.894 0.394 0.500 Fe
```